# 1
Starting from the GGA-PBE geometry in the Materials Project, the powder diffractogram of Pm2SiNi was calculated for Cu Kα.
Lines closer than 0.1° are merged.

Atomic structure:
Cell: 5.028 5.028 5.028 Å, 60.00 60.00 60.00°
Sites, in units of the cell vectors:
1 Pm 0.250 0.250 0.250
2 Pm 0.750 0.750 0.750
3 Si 0.000 0.000 0.000
4 Ni 0.500 0.500 0.500

Main lines, in order of rising 2θ (2θ = 10–90°):
| 2θ (°) | d [Å] | Rel. int. |
| --- | --- | --- |
| 25.04 | 3.556 | 327 |
| 35.71 | 2.514 | 1000 |
| 44.12 | 2.053 | 100 |
| 51.40 | 1.778 | 175 |
| 58.00 | 1.590 | 136 |
| 64.16 | 1.452 | 355 |
| 75.65 | 1.257 | 109 |
| 86.57 | 1.124 | 157 |



# 2
Starting from the GGA-PBE geometry in the Materials Project, the powder diffractogram of PrNi was calculated for Cu Kα.
Lines closer than 0.1° are merged.

Atomic structure:
Cell: 5.682 5.682 4.339 Å, 90.00 90.00 140.31°
Sites, in units of the cell vectors:
1 Pr 0.137 0.863 0.750
2 Pr 0.863 0.137 0.250
3 Ni 0.429 0.571 0.750
4 Ni 0.571 0.429 0.250

Main lines, in order of rising 2θ (2θ = 10–90°):
| 2θ (°) | d [Å] | Rel. int. |
| --- | --- | --- |
| 26.46 | 3.369 | 352 |
| 32.16 | 2.784 | 1000 |
| 33.53 | 2.672 | 267 |
| 34.26 | 2.617 | 422 |
| 40.24 | 2.241 | 553 |
| 41.63 | 2.170 | 284 |
| 47.12 | 1.929 | 197 |
| 54.97 | 1.670 | 216 |



# 3
Starting from the GGA-PBE geometry in the Materials Project, the powder diffractogram of PrNi2 was calculated for Cu Kα.
Lines closer than 0.1° are merged.

Atomic structure:
Cell: 5.192 5.192 5.192 Å, 60.00 60.00 60.00°
Sites, in units of the cell vectors:
1 Pr 0.125 0.125 0.125
2 Pr 0.875 0.875 0.875
3 Ni 0.000 0.500 0.500
4 Ni 0.500 0.000 0.500
5 Ni 0.500 0.500 0.000
6 Ni 0.500 0.500 0.500

Main lines, in order of rising 2θ (2θ = 10–90°):
| 2θ (°) | d [Å] | Rel. int. |
| --- | --- | --- |
| 34.55 | 2.596 | 581 |
| 40.75 | 2.214 | 1000 |
| 42.65 | 2.120 | 180 |
| 61.90 | 1.499 | 214 |
| 66.12 | 1.413 | 305 |
| 72.87 | 1.298 | 228 |
| 83.21 | 1.161 | 93 |
| 87.01 | 1.120 | 108 |



# 4
Starting from the GGA-PBE geometry in the Materials Project, the powder diffractogram of Pr2Ni7 was calculated for Cu Kα.
Lines closer than 0.1° are merged.

Atomic structure:
Cell: 12.604 12.604 12.604 Å, 22.87 22.87 22.87°
Sites, in units of the cell vectors:
1 Pr 0.051 0.051 0.051
2 Pr 0.147 0.147 0.147
3 Pr 0.853 0.853 0.853
4 Pr 0.949 0.949 0.949
5 Ni 0.000 0.500 0.500
6 Ni 0.110 0.608 0.608
7 Ni 0.278 0.278 0.278
8 Ni 0.388 0.388 0.388
9 Ni 0.392 0.392 0.890
10 Ni 0.392 0.890 0.392
11 Ni 0.500 0.000 0.500
12 Ni 0.500 0.500 0.000
13 Ni 0.500 0.500 0.500
14 Ni 0.608 0.110 0.608
15 Ni 0.608 0.608 0.110
16 Ni 0.612 0.612 0.612
17 Ni 0.722 0.722 0.722
18 Ni 0.890 0.392 0.392

Main lines, in order of rising 2θ (2θ = 10–90°):
| 2θ (°) | d [Å] | Rel. int. |
| --- | --- | --- |
| 31.92 | 2.804 | 395 |
| 33.86 | 2.647 | 317 |
| 35.93 | 2.499 | 456 |
| 41.81 | 2.161 | 345 |
| 42.39 | 2.133 | 1000 |
| 64.58 | 1.443 | 167 |
| 69.02 | 1.361 | 220 |
| 76.19 | 1.250 | 209 |



# 5
Starting from the GGA-PBE geometry in the Materials Project, the powder diffractogram of Pr3Ni was calculated for Cu Kα.
Lines closer than 0.1° are merged.

Atomic structure:
Cell: 7.084 10.089 6.564 Å, 90.00 90.00 90.00°
Sites, in units of the cell vectors:
1 Pr 0.039 0.250 0.144
2 Pr 0.175 0.066 0.674
3 Pr 0.175 0.434 0.674
4 Pr 0.325 0.566 0.174
5 Pr 0.325 0.934 0.174
6 Pr 0.461 0.750 0.644
7 Pr 0.539 0.250 0.356
8 Pr 0.675 0.066 0.826
9 Pr 0.675 0.434 0.826
10 Pr 0.825 0.566 0.326
11 Pr 0.825 0.934 0.326
12 Pr 0.961 0.750 0.856
13 Ni 0.109 0.750 0.434
14 Ni 0.391 0.250 0.934
15 Ni 0.609 0.750 0.066
16 Ni 0.891 0.250 0.566

Main lines, in order of rising 2θ (2θ = 10–90°):
| 2θ (°) | d [Å] | Rel. int. |
| --- | --- | --- |
| 29.85 | 2.993 | 1000 |
| 30.01 | 2.978 | 855 |
| 30.85 | 2.899 | 551 |
| 31.32 | 2.856 | 773 |
| 32.49 | 2.756 | 555 |
| 33.80 | 2.652 | 638 |
| 47.07 | 1.931 | 327 |
| 55.15 | 1.665 | 323 |



# 6
Starting from the GGA-PBE geometry in the Materials Project, the powder diffractogram of Pr2Ni7 was calculated for Cu Kα.
Lines closer than 0.1° are merged.

Atomic structure:
Cell: 5.066 5.066 24.670 Å, 90.00 90.00 120.00°
Sites, in units of the cell vectors:
1 Pr 0.333 0.667 0.030
2 Pr 0.333 0.667 0.174
3 Pr 0.333 0.667 0.326
4 Pr 0.333 0.667 0.470
5 Pr 0.667 0.333 0.530
6 Pr 0.667 0.333 0.674
7 Pr 0.667 0.333 0.826
8 Pr 0.667 0.333 0.970
9 Ni 0.000 0.000 0.000
10 Ni 0.000 0.000 0.169
11 Ni 0.000 0.000 0.331
12 Ni 0.000 0.000 0.500
13 Ni 0.000 0.000 0.669
14 Ni 0.000 0.000 0.831
15 Ni 0.166 0.332 0.588
16 Ni 0.166 0.332 0.912
17 Ni 0.166 0.834 0.588
18 Ni 0.166 0.834 0.912
19 Ni 0.167 0.334 0.750
20 Ni 0.167 0.833 0.750
21 Ni 0.332 0.166 0.088
22 Ni 0.332 0.166 0.412
23 Ni 0.333 0.667 0.668
24 Ni 0.333 0.667 0.832
25 Ni 0.334 0.167 0.250
26 Ni 0.666 0.833 0.750
27 Ni 0.667 0.333 0.168
28 Ni 0.667 0.333 0.332
29 Ni 0.668 0.834 0.588
30 Ni 0.668 0.834 0.912
31 Ni 0.833 0.167 0.250
32 Ni 0.833 0.666 0.250
33 Ni 0.834 0.166 0.088
34 Ni 0.834 0.166 0.412
35 Ni 0.834 0.668 0.088
36 Ni 0.834 0.668 0.412

Main lines, in order of rising 2θ (2θ = 10–90°):
| 2θ (°) | d [Å] | Rel. int. |
| --- | --- | --- |
| 32.59 | 2.748 | 623 |
| 35.44 | 2.533 | 468 |
| 41.32 | 2.185 | 328 |
| 41.89 | 2.157 | 1000 |
| 61.83 | 1.500 | 209 |
| 64.98 | 1.435 | 166 |
| 68.04 | 1.378 | 229 |
| 74.99 | 1.267 | 216 |



# 7
Starting from the GGA-PBE geometry in the Materials Project, the powder diffractogram of PrNiSb was calculated for Cu Kα.
Lines closer than 0.1° are merged.

Atomic structure:
Cell: 4.383 4.383 8.345 Å, 90.00 90.00 120.00°
Sites, in units of the cell vectors:
1 Pr 0.000 0.000 0.000
2 Pr 0.000 0.000 0.500
3 Ni 0.333 0.667 0.250
4 Ni 0.667 0.333 0.750
5 Sb 0.333 0.667 0.750
6 Sb 0.667 0.333 0.250

Main lines, in order of rising 2θ (2θ = 10–90°):
| 2θ (°) | d [Å] | Rel. int. |
| --- | --- | --- |
| 31.87 | 2.808 | 1000 |
| 41.19 | 2.192 | 480 |
| 43.37 | 2.086 | 138 |
| 53.00 | 1.728 | 234 |
| 61.35 | 1.511 | 288 |
| 69.25 | 1.357 | 206 |
| 72.36 | 1.306 | 91 |
| 75.07 | 1.265 | 79 |



# 8
Starting from the GGA-PBE geometry in the Materials Project, the powder diffractogram of PrNi2Sb2 was calculated for Cu Kα.
Lines closer than 0.1° are merged.

Atomic structure:
Cell: 4.476 4.476 10.095 Å, 90.00 90.00 90.00°
Sites, in units of the cell vectors:
1 Pr 0.250 0.250 0.240
2 Pr 0.750 0.750 0.760
3 Ni 0.250 0.250 0.623
4 Ni 0.250 0.750 0.000
5 Ni 0.750 0.250 0.000
6 Ni 0.750 0.750 0.377
7 Sb 0.250 0.250 0.874
8 Sb 0.250 0.750 0.500
9 Sb 0.750 0.250 0.500
10 Sb 0.750 0.750 0.126

Main lines, in order of rising 2θ (2θ = 10–90°):
| 2θ (°) | d [Å] | Rel. int. |
| --- | --- | --- |
| 33.31 | 2.690 | 693 |
| 33.42 | 2.681 | 1000 |
| 40.30 | 2.238 | 736 |
| 46.00 | 1.973 | 206 |
| 49.53 | 1.840 | 216 |
| 53.25 | 1.720 | 358 |
| 58.31 | 1.582 | 241 |
| 68.89 | 1.363 | 317 |



# 9
Starting from the GGA-PBE geometry in the Materials Project, the powder diffractogram of PrNi2Sb2 was calculated for Cu Kα.
Lines closer than 0.1° are merged.

Atomic structure:
Cell: 6.169 6.169 6.169 Å, 138.38 138.38 60.33°
Sites, in units of the cell vectors:
1 Pr 0.000 0.000 0.000
2 Ni 0.250 0.750 0.500
3 Ni 0.750 0.250 0.500
4 Sb 0.363 0.363 0.000
5 Sb 0.637 0.637 0.000

Main lines, in order of rising 2θ (2θ = 10–90°):
| 2θ (°) | d [Å] | Rel. int. |
| --- | --- | --- |
| 28.80 | 3.100 | 360 |
| 32.42 | 2.762 | 1000 |
| 33.44 | 2.680 | 428 |
| 41.19 | 2.192 | 567 |
| 47.39 | 1.918 | 162 |
| 53.36 | 1.717 | 481 |
| 59.66 | 1.550 | 184 |
| 59.98 | 1.542 | 195 |



# 10
Starting from the GGA-PBE geometry in the Materials Project, the powder diffractogram of PrNiSb2 was calculated for Cu Kα.
Lines closer than 0.1° are merged.

Atomic structure:
Cell: 4.431 4.431 9.798 Å, 90.00 90.00 90.00°
Sites, in units of the cell vectors:
1 Pr 0.250 0.250 0.242
2 Pr 0.750 0.750 0.758
3 Ni 0.250 0.750 0.000
4 Ni 0.750 0.250 0.000
5 Sb 0.250 0.250 0.869
6 Sb 0.250 0.750 0.500
7 Sb 0.750 0.250 0.500
8 Sb 0.750 0.750 0.131

Main lines, in order of rising 2θ (2θ = 10–90°):
| 2θ (°) | d [Å] | Rel. int. |
| --- | --- | --- |
| 27.13 | 3.286 | 179 |
| 29.94 | 2.984 | 256 |
| 33.96 | 2.640 | 1000 |
| 34.10 | 2.629 | 401 |
| 40.72 | 2.216 | 535 |
| 54.13 | 1.694 | 213 |
| 58.95 | 1.567 | 176 |
| 69.82 | 1.347 | 285 |



# 11
Starting from the GGA-PBE geometry in the Materials Project, the powder diffractogram of PrNiSb was calculated for Cu Kα.
Lines closer than 0.1° are merged.

Atomic structure:
Cell: 4.395 4.395 4.194 Å, 90.00 90.00 120.00°
Sites, in units of the cell vectors:
1 Pr 0.000 0.000 0.000
2 Ni 0.333 0.667 0.500
3 Sb 0.667 0.333 0.500

Main lines, in order of rising 2θ (2θ = 10–90°):
| 2θ (°) | d [Å] | Rel. int. |
| --- | --- | --- |
| 23.37 | 3.806 | 87 |
| 31.75 | 2.819 | 1000 |
| 41.07 | 2.198 | 460 |
| 43.14 | 2.097 | 133 |
| 52.82 | 1.733 | 234 |
| 61.08 | 1.517 | 278 |
| 69.01 | 1.361 | 207 |
| 71.96 | 1.312 | 92 |



# 12
Starting from the GGA-PBE geometry in the Materials Project, the powder diffractogram of PrSi2Ni9 was calculated for Cu Kα.
Lines closer than 0.1° are merged.

Atomic structure:
Cell: 7.617 7.617 7.617 Å, 99.57 99.57 131.88°
Sites, in units of the cell vectors:
1 Pr 0.375 0.625 0.750
2 Pr 0.625 0.375 0.250
3 Si 0.000 0.000 0.000
4 Si 0.000 0.000 0.500
5 Si 0.000 0.500 0.000
6 Si 0.500 0.000 0.500
7 Ni 0.125 0.875 0.250
8 Ni 0.142 0.564 0.329
9 Ni 0.142 0.813 0.579
10 Ni 0.187 0.265 0.329
11 Ni 0.187 0.858 0.921
12 Ni 0.265 0.187 0.829
13 Ni 0.265 0.436 0.079
14 Ni 0.436 0.265 0.579
15 Ni 0.436 0.858 0.171
16 Ni 0.564 0.142 0.829
17 Ni 0.564 0.735 0.421
18 Ni 0.735 0.564 0.921
19 Ni 0.735 0.813 0.171
20 Ni 0.813 0.142 0.079
21 Ni 0.813 0.735 0.671
22 Ni 0.858 0.187 0.421
23 Ni 0.858 0.436 0.671
24 Ni 0.875 0.125 0.750

Main lines, in order of rising 2θ (2θ = 10–90°):
| 2θ (°) | d [Å] | Rel. int. |
| --- | --- | --- |
| 35.96 | 2.498 | 139 |
| 41.06 | 2.198 | 1000 |
| 44.74 | 2.026 | 148 |
| 47.15 | 1.928 | 108 |
| 48.56 | 1.875 | 249 |
| 50.88 | 1.795 | 113 |
| 74.80 | 1.269 | 175 |
| 89.05 | 1.099 | 108 |